[1]
Sm2Mg3Sn4: calculated X-ray diffraction stick pattern (Cu Kα (weighted mean of Kα1 and Kα2)), based on a GGA-PBE-relaxed structure.
No peak broadening, texture or thermal motion is included.

Most intense lines, 5 to 70 degrees two-theta, sorted by position:
d (Å)	Position (°2θ)	I (rel.)
3.816	23.3	31
3.004	29.7	58
2.837	31.5	61
2.793	32.0	100
2.708	33.1	75
2.635	34.0	30
2.579	34.8	83
2.547	35.2	33
1.766	51.8	26
1.493	62.2	31

Structural model:
```
18
Lattice="3.224 -8.306 0.000 3.224 8.306 0.000 0.000 0.000 8.594" Properties=species:S:1:pos:R:3 pbc="T T T"
Sm 3.224 6.415 7.870
Sm 3.224 1.891 3.574
Sm 3.224 -1.891 5.020
Sm 3.224 -6.415 0.723
Mg 0.000 0.000 4.297
Mg 1.612 3.576 6.445
Mg 1.612 -3.576 2.148
Mg 3.224 0.000 0.000
Mg 4.836 3.576 6.445
Mg 4.836 -3.576 2.148
Sn 3.224 5.251 4.719
Sn 1.612 0.735 6.445
Sn 1.612 -0.735 2.148
Sn 3.224 3.055 0.423
Sn 3.224 -3.055 8.171
Sn 4.836 0.735 6.445
Sn 4.836 -0.735 2.148
Sn 3.224 -5.251 3.874
```

[2]
Sm2Ga5Ru2Rh: calculated X-ray diffraction stick pattern (Cu Kα (weighted mean of Kα1 and Kα2)), based on a GGA-PBE-relaxed structure.
No peak broadening, texture or thermal motion is included.

Most intense lines, 5 to 70 degrees two-theta, sorted by position:
d (Å)	Position (°2θ)	I (rel.)
3.359	26.5	15
2.576	34.8	52
2.503	35.9	31
2.428	37.0	24
2.310	39.0	100
2.162	41.8	34
1.770	51.6	10
1.591	58.0	15
1.531	60.5	15
1.354	69.4	14

Structural model:
```
20
Lattice="10.621 0.000 0.000 0.000 10.621 0.000 0.000 0.000 3.182" Properties=species:S:1:pos:R:3 pbc="T T T"
Sm 1.925 3.385 0.000
Sm 3.385 8.696 0.000
Sm 7.236 1.925 0.000
Sm 8.696 7.236 0.000
Ga 0.000 5.311 1.591
Ga 0.571 8.597 1.591
Ga 2.024 0.571 1.591
Ga 3.286 5.882 1.591
Ga 4.739 3.286 1.591
Ga 5.311 0.000 1.591
Ga 5.882 7.335 1.591
Ga 7.335 4.739 1.591
Ga 8.597 10.050 1.591
Ga 10.050 2.024 1.591
Ru 1.364 6.675 0.000
Ru 3.946 1.364 0.000
Ru 6.675 9.257 0.000
Ru 9.257 3.946 0.000
Rh 0.000 0.000 0.000
Rh 5.311 5.311 0.000
```

[3]
BaSrNdSbO6: calculated X-ray diffraction stick pattern (Cu Kα (weighted mean of Kα1 and Kα2)), based on a GGA-PBE-relaxed structure.
No peak broadening, texture or thermal motion is included.

Most intense lines, 5 to 70 degrees two-theta, sorted by position:
d (Å)	Position (°2θ)	I (rel.)
3.042	29.4	65
3.029	29.5	100
3.018	29.6	32
2.144	42.2	55
1.756	52.1	29
1.753	52.2	14
1.749	52.3	13
1.745	52.4	22
1.515	61.2	16
1.354	69.4	11

Structural model:
```
20
Lattice="6.057 0.000 0.000 0.012 6.074 0.000 0.064 0.048 8.568" Properties=species:S:1:pos:R:3 pbc="T T T"
Ba 0.051 0.129 2.147
Ba 6.082 5.993 6.421
Sr 3.011 3.221 2.124
Sr 3.123 2.902 6.444
Nd 0.006 3.037 0.000
Nd 3.061 0.024 4.284
Sb 0.038 3.061 4.284
Sb 3.029 0.000 0.000
O 0.532 3.041 6.257
O 1.291 4.619 4.013
O 1.461 4.839 0.211
O 1.597 1.823 3.886
O 1.858 1.623 0.380
O 2.729 0.270 6.591
O 3.405 5.853 1.977
O 4.275 4.499 8.188
O 4.537 4.299 4.682
O 4.673 1.284 8.357
O 4.842 1.504 4.555
O 5.602 3.081 2.311
```

[4]
GaMo2Cl: calculated X-ray diffraction stick pattern (Cu Kα (weighted mean of Kα1 and Kα2)), based on a GGA-PBE-relaxed structure.
No peak broadening, texture or thermal motion is included.

Most intense lines, 5 to 70 degrees two-theta, sorted by position:
d (Å)	Position (°2θ)	I (rel.)
4.527	19.6	15
3.290	27.1	8
2.661	33.7	5
2.653	33.8	100
2.264	39.8	30
2.042	44.4	45
1.800	50.7	54
1.746	52.4	5
1.516	61.1	18
1.387	67.5	11

Structural model:
```
8
Lattice="-1.962 1.962 9.054 1.962 -1.962 9.054 1.962 1.962 -9.054" Properties=species:S:1:pos:R:3 pbc="T T T"
Ga 0.000 0.000 0.000
Ga 0.000 1.962 4.527
Mo 0.981 -0.849 6.791
Mo 1.113 0.981 2.264
Mo 0.981 2.811 -2.264
Mo 0.849 0.981 11.318
Cl 1.962 0.000 4.527
Cl 0.000 0.000 9.054
```